(1)
Mg6ZnPt: simulated powder X-ray diffraction pattern (Cu Kα (λ = 1.5418 Å)), based on a crystal structure in Alexandria, relaxed with GGA-PBE.
Neutral-atom scattering factors, no anomalous dispersion.

Structure:
Lattice parameters (Å, degrees): 7.8072 7.8072 7.8072 145.06 145.06 50.25
Atoms (fractional coordinates):
Mg: 0.1064 0.6064 0.5000
Mg: 0.2461 0.2461 0.0000
Mg: 0.3936 0.8936 0.5000
Mg: 0.6064 0.1064 0.5000
Mg: 0.7539 0.7539 0.0000
Mg: 0.8936 0.3936 0.5000
Zn: 0.5000 0.5000 0.0000
Pt: 0.0000 0.0000 0.0000

Most intense lines, 2θ = 10–80°, in order of falling intensity:
12.5°, intensity 100.0; 37.2°, intensity 98.0; 26.9°, intensity 44.8; 38.4°, intensity 43.1; 20.0°, intensity 37.1; 29.8°, intensity 34.1; 68.7°, intensity 30.1; 40.5°, intensity 23.7; 47.3°, intensity 21.2; 25.2°, intensity 18.2; 55.4°, intensity 14.6; 46.5°, intensity 14.4

***

(2)
Mg3Zn6Pt2: simulated powder X-ray diffraction pattern (Cu Kα (λ = 1.5418 Å)), based on a crystal structure in Alexandria, relaxed with GGA-PBE.
Neutral-atom scattering factors, no anomalous dispersion.

Structure:
Lattice parameters (Å, degrees): 6.5579 6.5579 9.9085 97.56 97.56 62.88
Atoms (fractional coordinates):
Mg: 0.0540 0.9460 0.7500
Mg: 0.2311 0.4833 0.1622
Mg: 0.4833 0.2311 0.6622
Mg: 0.5167 0.7689 0.3378
Mg: 0.7689 0.5167 0.8378
Mg: 0.9460 0.0540 0.2500
Zn: 0.0182 0.5345 0.6328
Zn: 0.2222 0.4463 0.8749
Zn: 0.2513 0.6545 0.4724
Zn: 0.3455 0.7487 0.0276
Zn: 0.4463 0.2222 0.3749
Zn: 0.4655 0.9818 0.8672
Zn: 0.5345 0.0182 0.1328
Zn: 0.5537 0.7778 0.6251
Zn: 0.6545 0.2513 0.9724
Zn: 0.7487 0.3455 0.5276
Zn: 0.7778 0.5537 0.1251
Zn: 0.9818 0.4655 0.3672
Pt: 0.0832 0.1836 0.9990
Pt: 0.1836 0.0832 0.4990
Pt: 0.8164 0.9168 0.5010
Pt: 0.9168 0.8164 0.0010

Most intense lines, 2θ = 10–80°, in order of falling intensity:
18.1°, intensity 100.0; 41.8°, intensity 37.4; 24.7°, intensity 35.3; 41.2°, intensity 33.6; 30.9°, intensity 33.6; 15.2°, intensity 31.7; 42.6°, intensity 30.0; 39.8°, intensity 25.7; 43.9°, intensity 25.3; 35.2°, intensity 25.1; 42.0°, intensity 24.5; 43.3°, intensity 22.8

***

(3)
MgZn5Pt3: simulated powder X-ray diffraction pattern (Cu Kα (λ = 1.5418 Å)), based on a crystal structure in Alexandria, relaxed with GGA-PBE.
Neutral-atom scattering factors, no anomalous dispersion.

Structure:
Lattice parameters (Å, degrees): 5.3377 7.7689 6.8679 90.00 90.00 90.00
Atoms (fractional coordinates):
Mg: 0.0000 0.0000 0.1508
Mg: 0.5000 0.5000 0.8492
Zn: 0.0000 0.5000 0.5421
Zn: 0.2220 0.8290 0.8066
Zn: 0.2352 0.6899 0.1840
Zn: 0.2648 0.1899 0.8160
Zn: 0.2780 0.3290 0.1934
Zn: 0.5000 0.0000 0.4579
Zn: 0.7220 0.6710 0.1934
Zn: 0.7352 0.8101 0.8160
Zn: 0.7648 0.3101 0.1840
Zn: 0.7780 0.1710 0.8066
Pt: 0.0000 0.5000 0.9311
Pt: 0.0524 0.1794 0.4815
Pt: 0.4476 0.6794 0.5185
Pt: 0.5000 0.0000 0.0689
Pt: 0.5524 0.3206 0.5185
Pt: 0.9476 0.8206 0.4815

Most intense lines, 2θ = 10–80°, in order of falling intensity:
24.0°, intensity 100.0; 38.6°, intensity 92.1; 42.9°, intensity 86.3; 47.1°, intensity 80.8; 38.0°, intensity 60.7; 26.4°, intensity 57.6; 43.2°, intensity 55.1; 39.4°, intensity 49.9; 44.6°, intensity 44.6; 25.9°, intensity 42.1; 41.1°, intensity 41.9; 12.9°, intensity 40.5

***

(4)
Mg3Zn7Pt2: simulated powder X-ray diffraction pattern (Cu Kα (λ = 1.5418 Å)), based on a crystal structure in Alexandria, relaxed with GGA-PBE.
Neutral-atom scattering factors, no anomalous dispersion.

Structure:
Lattice parameters (Å, degrees): 9.1797 9.1797 9.1797 32.67 32.67 32.67
Atoms (fractional coordinates):
Mg: 0.0000 0.0000 0.0000
Mg: 0.1463 0.1463 0.1463
Mg: 0.8537 0.8537 0.8537
Zn: 0.0802 0.5846 0.5846
Zn: 0.4154 0.4154 0.9198
Zn: 0.4154 0.9198 0.4154
Zn: 0.5000 0.5000 0.5000
Zn: 0.5846 0.0802 0.5846
Zn: 0.5846 0.5846 0.0802
Zn: 0.9198 0.4154 0.4154
Pt: 0.3337 0.3337 0.3337
Pt: 0.6663 0.6663 0.6663

Most intense lines, 2θ = 10–80°, in order of falling intensity:
40.7°, intensity 100.0; 10.2°, intensity 84.1; 20.1°, intensity 73.8; 44.1°, intensity 33.7; 41.6°, intensity 29.7; 34.7°, intensity 26.7; 36.3°, intensity 26.1; 47.4°, intensity 23.3; 66.3°, intensity 23.1; 73.3°, intensity 22.1; 21.0°, intensity 20.6; 47.2°, intensity 15.4

***

(5)
Mg2ZnPt3: simulated powder X-ray diffraction pattern (Cu Kα (λ = 1.5418 Å)), based on a crystal structure in Alexandria, relaxed with GGA-PBE.
Neutral-atom scattering factors, no anomalous dispersion.

Structure:
Lattice parameters (Å, degrees): 6.5749 6.5749 7.1367 90.00 90.00 143.17
Atoms (fractional coordinates):
Mg: 0.0000 0.0000 0.0000
Mg: 0.0000 0.0000 0.5000
Mg: 0.3335 0.6665 0.0000
Mg: 0.6665 0.3335 0.0000
Zn: 0.3340 0.6660 0.5000
Zn: 0.6660 0.3340 0.5000
Pt: 0.1682 0.8318 0.2577
Pt: 0.1682 0.8318 0.7423
Pt: 0.5000 0.5000 0.2548
Pt: 0.5000 0.5000 0.7452
Pt: 0.8318 0.1682 0.2577
Pt: 0.8318 0.1682 0.7423

Most intense lines, 2θ = 10–80°, in order of falling intensity:
39.7°, intensity 100.0; 30.4°, intensity 42.7; 43.5°, intensity 38.9; 25.0°, intensity 34.6; 77.4°, intensity 28.5; 50.8°, intensity 21.0; 69.4°, intensity 19.0; 63.3°, intensity 12.8; 60.7°, intensity 12.2; 51.2°, intensity 11.9; 69.1°, intensity 8.6; 71.8°, intensity 7.8

***

(6)
Mg4ZnPt2: simulated powder X-ray diffraction pattern (Cu Kα (λ = 1.5418 Å)), based on a crystal structure in Alexandria, relaxed with GGA-PBE.
Neutral-atom scattering factors, no anomalous dispersion.

Structure:
Lattice parameters (Å, degrees): 7.5852 7.5852 7.5852 34.71 34.71 34.71
Atoms (fractional coordinates):
Mg: 0.1128 0.1128 0.1128
Mg: 0.3688 0.3688 0.3688
Mg: 0.6312 0.6312 0.6312
Mg: 0.8872 0.8872 0.8872
Zn: 0.5000 0.5000 0.5000
Pt: 0.2425 0.2425 0.2425
Pt: 0.7575 0.7575 0.7575

Most intense lines, 2θ = 10–80°, in order of falling intensity:
24.2°, intensity 100.0; 39.8°, intensity 91.9; 28.2°, intensity 88.1; 40.9°, intensity 73.9; 47.6°, intensity 34.0; 25.0°, intensity 31.1; 73.1°, intensity 26.3; 58.4°, intensity 25.8; 12.4°, intensity 20.7; 49.6°, intensity 19.4; 37.3°, intensity 18.4; 47.2°, intensity 17.4

***

(7)
MgZn3Pt4: simulated powder X-ray diffraction pattern (Cu Kα (λ = 1.5418 Å)), based on a crystal structure in Alexandria, relaxed with GGA-PBE.
Neutral-atom scattering factors, no anomalous dispersion.

Structure:
Lattice parameters (Å, degrees): 7.7262 7.7262 4.0761 105.13 105.13 30.59
Atoms (fractional coordinates):
Mg: 0.0000 0.0000 0.0000
Zn: 0.2502 0.2502 0.2504
Zn: 0.5000 0.5000 0.5000
Zn: 0.7498 0.7498 0.7496
Pt: 0.1276 0.1276 0.6275
Pt: 0.3724 0.3724 0.8723
Pt: 0.6276 0.6276 0.1277
Pt: 0.8724 0.8724 0.3725

Most intense lines, 2θ = 10–80°, in order of falling intensity:
40.1°, intensity 100.0; 44.5°, intensity 37.6; 31.0°, intensity 27.0; 24.8°, intensity 23.4; 78.9°, intensity 13.9; 79.0°, intensity 13.8; 50.9°, intensity 12.5; 64.7°, intensity 12.2; 51.6°, intensity 10.3; 69.9°, intensity 9.6; 73.5°, intensity 5.1; 69.7°, intensity 4.8

***

(8)
MgZn2Pt5: simulated powder X-ray diffraction pattern (Cu Kα (λ = 1.5418 Å)), based on a crystal structure in Alexandria, relaxed with GGA-PBE.
Neutral-atom scattering factors, no anomalous dispersion.

Structure:
Lattice parameters (Å, degrees): 7.8879 7.8879 7.8879 150.16 150.16 42.71
Atoms (fractional coordinates):
Mg: 0.0000 0.0000 0.0000
Zn: 0.2491 0.2491 0.0000
Zn: 0.7509 0.7509 0.0000
Pt: 0.1327 0.6327 0.5000
Pt: 0.3673 0.8673 0.5000
Pt: 0.5000 0.5000 0.0000
Pt: 0.6327 0.1327 0.5000
Pt: 0.8673 0.3673 0.5000

Most intense lines, 2θ = 10–80°, in order of falling intensity:
39.8°, intensity 100.0; 44.6°, intensity 37.3; 79.0°, intensity 27.4; 68.9°, intensity 18.5; 31.1°, intensity 12.8; 49.6°, intensity 12.3; 64.9°, intensity 12.2; 24.2°, intensity 11.1; 22.7°, intensity 9.2; 51.4°, intensity 6.1; 28.6°, intensity 5.5; 59.8°, intensity 4.5